(1)
Structure and computed X-ray diffraction stick pattern of Mg3Cu3As4O16 (a DFT-relaxed cell (PBE, the Materials Project); Cu Kα).
Intensities are scaled so that the largest is 100.

Principal peaks in the range 5° ≤ 2θ ≤ 70°, low angle first:
Position (°2θ)  intensity
12.85  54.3
24.65  68.3
27.06  100.0
30.70  72.6
35.29  52.7
35.97  52.7

Structure:
abc: 8.724 5.086 15.743
angles: 90.00 113.28 90.00
Positions (direct):
Mg  0.000  0.000  0.000
Mg  0.000  0.500  0.500
Mg  0.295  0.025  0.277
Mg  0.295  0.475  0.777
Mg  0.705  0.525  0.223
Mg  0.705  0.975  0.723
Cu  0.208  0.510  0.379
Cu  0.208  0.990  0.879
Cu  0.500  0.000  0.500
Cu  0.500  0.500  0.000
Cu  0.792  0.010  0.121
Cu  0.792  0.490  0.621
As  0.041  0.004  0.652
As  0.041  0.496  0.152
As  0.422  0.004  0.101
As  0.422  0.496  0.601
As  0.578  0.504  0.399
As  0.578  0.996  0.899
As  0.959  0.504  0.848
As  0.959  0.996  0.348
O  0.044  0.667  0.639
O  0.044  0.833  0.139
O  0.093  0.176  0.575
O  0.093  0.324  0.075
O  0.149  0.599  0.846
O  0.149  0.901  0.346
O  0.196  0.096  0.759
O  0.196  0.404  0.259
O  0.239  0.561  0.506
O  0.239  0.939  0.006
O  0.413  0.597  0.700
O  0.413  0.903  0.200
O  0.427  0.195  0.919
O  0.427  0.305  0.419
O  0.499  0.679  0.892
O  0.499  0.821  0.392
O  0.501  0.179  0.608
O  0.501  0.321  0.108
O  0.573  0.695  0.581
O  0.573  0.805  0.081
O  0.587  0.097  0.800
O  0.587  0.403  0.300
O  0.761  0.061  0.994
O  0.761  0.439  0.494
O  0.804  0.596  0.741
O  0.804  0.904  0.241
O  0.851  0.099  0.654
O  0.851  0.401  0.154
O  0.907  0.676  0.925
O  0.907  0.824  0.425
O  0.956  0.167  0.861
O  0.956  0.333  0.361



(2)
Structure and computed X-ray diffraction stick pattern of MnCuAs (a DFT-relaxed cell (PBE, the Materials Project); Cu Kα).
Intensities are scaled so that the largest is 100.

Principal peaks in the range 5° ≤ 2θ ≤ 70°, low angle first:
Position (°2θ)  intensity
34.28  15.5
37.12  77.9
42.31  27.0
44.72  100.0
49.26  66.6
66.91  25.2

Structure:
abc: 3.699 3.699 6.408
angles: 90.00 90.00 90.00
Positions (direct):
Mn  0.250  0.250  0.164
Mn  0.750  0.750  0.836
Cu  0.250  0.750  0.500
Cu  0.750  0.250  0.500
As  0.250  0.250  0.776
As  0.750  0.750  0.224



(3)
Structure and computed X-ray diffraction stick pattern of MnCuAs (a DFT-relaxed cell (PBE, the Materials Project); Cu Kα).
Intensities are scaled so that the largest is 100.

Principal peaks in the range 5° ≤ 2θ ≤ 70°, low angle first:
Position (°2θ)  intensity
36.84  69.7
37.68  54.4
39.57  100.0
45.77  65.4
49.35  49.7
49.87  45.2

Structure:
abc: 6.257 3.693 7.605
angles: 90.00 90.00 90.00
Positions (direct):
Mn  0.044  0.250  0.164
Mn  0.456  0.750  0.664
Mn  0.544  0.250  0.336
Mn  0.956  0.750  0.836
Cu  0.136  0.250  0.560
Cu  0.364  0.750  0.060
Cu  0.636  0.250  0.940
Cu  0.864  0.750  0.440
As  0.248  0.250  0.863
As  0.252  0.750  0.363
As  0.748  0.250  0.637
As  0.752  0.750  0.137



(4)
Structure and computed X-ray diffraction stick pattern of Mn3CuAs2 (a DFT-relaxed cell (PBE, the Materials Project); Cu Kα).
Intensities are scaled so that the largest is 100.

Principal peaks in the range 5° ≤ 2θ ≤ 70°, low angle first:
Position (°2θ)  intensity
38.08  100.0
40.07  40.0
45.65  44.6
45.82  34.1
49.82  42.6
51.52  38.9

Structure:
abc: 12.701 3.548 7.289
angles: 90.00 90.00 90.00
Positions (direct):
Mn  0.107  0.250  0.052
Mn  0.152  0.750  0.700
Mn  0.190  0.750  0.308
Mn  0.310  0.250  0.808
Mn  0.348  0.250  0.200
Mn  0.393  0.750  0.552
Mn  0.607  0.250  0.448
Mn  0.652  0.750  0.800
Mn  0.690  0.750  0.192
Mn  0.810  0.250  0.692
Mn  0.848  0.250  0.300
Mn  0.893  0.750  0.948
Cu  0.059  0.250  0.440
Cu  0.441  0.750  0.940
Cu  0.559  0.250  0.060
Cu  0.941  0.750  0.560
As  0.002  0.250  0.775
As  0.247  0.750  0.002
As  0.253  0.250  0.502
As  0.498  0.750  0.275
As  0.502  0.250  0.725
As  0.747  0.750  0.498
As  0.753  0.250  0.998
As  0.998  0.750  0.225



(5)
Structure and computed X-ray diffraction stick pattern of Mn2Cu2AsP (a DFT-relaxed cell (PBE, the Materials Project); Cu Kα).
Intensities are scaled so that the largest is 100.

Principal peaks in the range 5° ≤ 2θ ≤ 70°, low angle first:
Position (°2θ)  intensity
37.85  100.0
38.53  55.7
40.50  81.8
46.01  37.7
47.11  45.9
50.68  43.7

Structure:
abc: 3.603 7.384 6.139
angles: 90.00 90.00 90.00
Positions (direct):
Mn  0.000  0.082  0.000
Mn  0.000  0.918  0.500
Mn  0.500  0.394  0.929
Mn  0.500  0.606  0.429
Cu  0.000  0.296  0.611
Cu  0.000  0.704  0.111
Cu  0.500  0.177  0.336
Cu  0.500  0.823  0.836
As  0.000  0.390  0.223
As  0.000  0.610  0.723
P  0.500  0.114  0.718
P  0.500  0.886  0.218



(6)
Structure and computed X-ray diffraction stick pattern of Pr2Mn3Cu9As7 (a DFT-relaxed cell (PBE, the Materials Project); Cu Kα).
Intensities are scaled so that the largest is 100.

Principal peaks in the range 5° ≤ 2θ ≤ 70°, low angle first:
Position (°2θ)  intensity
35.57  100.0
44.20  24.5
45.26  26.7
48.53  26.5
51.65  15.4
68.52  18.3

Structure:
abc: 9.927 9.927 4.007
angles: 90.00 90.00 120.00
Positions (direct):
Pr  0.000  0.000  0.000
Pr  0.333  0.667  0.500
Mn  0.446  0.236  0.000
Mn  0.764  0.210  0.000
Mn  0.790  0.554  0.000
Cu  0.042  0.756  0.500
Cu  0.091  0.377  0.000
Cu  0.244  0.286  0.500
Cu  0.286  0.909  0.000
Cu  0.504  0.051  0.500
Cu  0.546  0.496  0.500
Cu  0.623  0.714  0.000
Cu  0.714  0.958  0.500
Cu  0.949  0.454  0.500
As  0.080  0.627  0.000
As  0.250  0.039  0.500
As  0.373  0.453  0.000
As  0.547  0.920  0.000
As  0.667  0.333  0.500
As  0.789  0.750  0.500
As  0.961  0.211  0.500



Copy entry 5 word for word.
Structure and computed X-ray diffraction stick pattern of Mn2Cu2AsP (a DFT-relaxed cell (PBE, the Materials Project); Cu Kα).
Intensities are scaled so that the largest is 100.

Principal peaks in the range 5° ≤ 2θ ≤ 70°, low angle first:
Position (°2θ)  intensity
37.85  100.0
38.53  55.7
40.50  81.8
46.01  37.7
47.11  45.9
50.68  43.7

Structure:
abc: 3.603 7.384 6.139
angles: 90.00 90.00 90.00
Positions (direct):
Mn  0.000  0.082  0.000
Mn  0.000  0.918  0.500
Mn  0.500  0.394  0.929
Mn  0.500  0.606  0.429
Cu  0.000  0.296  0.611
Cu  0.000  0.704  0.111
Cu  0.500  0.177  0.336
Cu  0.500  0.823  0.836
As  0.000  0.390  0.223
As  0.000  0.610  0.723
P  0.500  0.114  0.718
P  0.500  0.886  0.218